Entry 1:
Theoretical powder XRD pattern
Compound: BaSrPrZrO6
Radiation: Cu Kα (weighted mean of Kα1 and Kα2)
Structure: the GGA-PBE geometry in the Materials Project

Peak list (10 most intense, 2θ = 10–90°, by angle)
two_theta	I (rel.)	(hkl)
17.40	4	1 1 1
28.60	100	2 2 0
33.67	3	3 1 1
40.89	32	4 0 0
50.65	41	4 2 2
59.20	20	4 4 0
67.04	18	6 2 0
74.45	7	4 4 4
81.60	21	6 4 2
88.62	3	8 0 0

Crystal structure
```
data_BaSrPrZrO6
_chemical_formula_sum 'Ba4 Sr4 Pr4 Zr4 O24'
_symmetry_space_group_name_H-M 'F -4 3 m'
_symmetry_Int_Tables_number 216
_symmetry_space_group_name_Hall 'F -4 2 3'
_cell_length_a 8.829
_cell_length_b 8.829
_cell_length_c 8.829
_cell_angle_alpha 90.00
_cell_angle_beta 90.00
_cell_angle_gamma 90.00
loop_
_atom_site_label
_atom_site_fract_x
_atom_site_fract_y
_atom_site_fract_z
Ba1 0.000 0.000 0.000
Sr1 0.000 0.000 0.500
Pr1 0.250 0.250 0.750
Zr1 0.250 0.250 0.250
O1 0.012 0.250 0.250
```

***

Entry 2:
Theoretical powder XRD pattern
Compound: Na2BiPCO7
Radiation: Cu Kα (weighted mean of Kα1 and Kα2)
Structure: the GGA-PBE geometry in the Materials Project

Peak list (10 most intense, 2θ = 10–90°, by angle)
two_theta	I (rel.)	(hkl)
15.78	92	0 1 1
18.95	44	1 0 -1
21.03	100	1 1 0
22.77	39	0 1 2
24.89	53	1 0 -2
25.46	64	0 2 0
25.72	61	1 0 2
27.19	38	0 2 1
31.92	47	1 2 -1
33.83	34	2 0 0

Crystal structure
```
data_Na2BiPCO7
_chemical_formula_sum 'Na4 Bi2 P2 C2 O14'
_symmetry_space_group_name_H-M 'P 1 21/m 1'
_symmetry_Int_Tables_number 11
_symmetry_space_group_name_Hall '-P 2yb'
_cell_length_a 5.302
_cell_length_b 6.997
_cell_length_c 9.420
_cell_angle_alpha 90.00
_cell_angle_beta 91.86
_cell_angle_gamma 90.00
loop_
_atom_site_label
_atom_site_fract_x
_atom_site_fract_y
_atom_site_fract_z
Na1 0.233 0.010 0.213
Bi1 0.224 0.250 0.619
P1 0.277 0.750 0.597
C1 0.271 0.250 0.915
O1 0.052 0.250 0.842
O2 0.144 0.572 0.661
O3 0.233 0.750 0.430
O4 0.285 0.250 0.047
O5 0.436 0.250 0.370
O6 0.472 0.250 0.834
```

***

Entry 3:
Theoretical powder XRD pattern
Compound: KHoC2O6
Radiation: Cu Kα (weighted mean of Kα1 and Kα2)
Structure: the GGA-PBE geometry in the Materials Project

Peak list (10 most intense, 2θ = 10–90°, by angle)
two_theta	I (rel.)	(hkl)
14.48	100	1 1 0
16.90	19	1 1 -1
22.36	32	2 0 0
22.92	37	0 2 1
27.00	69	0 0 2
28.67	74	2 2 -1
35.50	25	2 2 1
42.74	16	3 3 -1
43.74	29	2 2 -3
46.89	18	4 2 -1

Crystal structure
```
data_KHoC2O6
_chemical_formula_sum 'K4 Ho4 C8 O24'
_symmetry_space_group_name_H-M 'C 1 2/c 1'
_symmetry_Int_Tables_number 15
_symmetry_space_group_name_Hall '-C 2yc'
_cell_length_a 8.479
_cell_length_b 9.590
_cell_length_c 7.048
_cell_angle_alpha 90.00
_cell_angle_beta 110.43
_cell_angle_gamma 90.00
loop_
_atom_site_label
_atom_site_fract_x
_atom_site_fract_y
_atom_site_fract_z
K1 0.000 0.118 0.250
Ho1 0.000 0.408 0.750
C1 0.229 0.373 0.248
O1 0.082 0.383 0.100
O2 0.175 0.233 0.735
O3 0.234 0.025 0.623
```

***

Entry 4:
Theoretical powder XRD pattern
Compound: Lu3PbC
Radiation: Cu Kα (weighted mean of Kα1 and Kα2)
Structure: the GGA-PBE geometry in the Materials Project

Peak list (8 most intense, 2θ = 10–90°, by angle)
two_theta	I (rel.)	(hkl)
26.33	1	1 1 0
32.39	100	1 1 1
37.58	54	2 0 0
54.20	38	2 2 0
64.57	43	3 1 1
67.82	13	2 2 2
80.21	6	4 0 0
89.17	19	3 3 1

Crystal structure
```
data_Lu3PbC
_chemical_formula_sum 'Lu3 Pb1 C1'
_symmetry_space_group_name_H-M 'P m -3 m'
_symmetry_Int_Tables_number 221
_symmetry_space_group_name_Hall '-P 4 2 3'
_cell_length_a 4.787
_cell_length_b 4.787
_cell_length_c 4.787
_cell_angle_alpha 90.00
_cell_angle_beta 90.00
_cell_angle_gamma 90.00
loop_
_atom_site_label
_atom_site_fract_x
_atom_site_fract_y
_atom_site_fract_z
Lu1 0.000 0.000 0.500
Pb1 0.500 0.500 0.500
C1 0.000 0.000 0.000
```

***

Entry 5:
Theoretical powder XRD pattern
Compound: SrHfN2
Radiation: Cu Kα (weighted mean of Kα1 and Kα2)
Structure: the GGA-PBE geometry in the Materials Project

Peak list (10 most intense, 2θ = 10–90°, by angle)
two_theta	I (rel.)	(hkl)
14.96	34	0 0 3
30.18	40	0 0 6
32.40	96	0 1 2
36.96	100	1 0 4
51.81	36	0 1 8
54.69	32	1 1 0
61.13	18	1 0 10
63.74	30	1 1 6
67.84	16	0 2 4
87.95	15	1 1 12

Crystal structure
```
data_SrHfN2
_chemical_formula_sum 'Sr3 Hf3 N6'
_symmetry_space_group_name_H-M 'R -3 m'
_symmetry_Int_Tables_number 166
_symmetry_space_group_name_Hall '-R 3 2"'
_cell_length_a 3.3567
_cell_length_b 3.3567
_cell_length_c 17.7661
_cell_angle_alpha 90.00
_cell_angle_beta 90.00
_cell_angle_gamma 120.00
loop_
_atom_site_label
_atom_site_fract_x
_atom_site_fract_y
_atom_site_fract_z
Sr1 0.0000 0.0000 0.0000
Hf1 0.0000 0.0000 0.5000
N1 0.0000 0.0000 0.2326
```